Entry 1:
The following is a theoretical powder diffraction line list of K2TaBr7. It was derived from the PBE geometry in Alexandria, using Cu Kα (weighted mean of Kα1 and Kα2).
Peak positions follow from Bragg's law for the DFT cell and can differ from measured ones.

Cell and atoms:
Cell lengths 9.348, 9.348, 13.144 Å; angles 124.19, 124.19, 52.78 degrees
Positions (direct):
K  0.095  0.632  0.944
K  0.368  0.905  0.556
K  0.632  0.095  0.444
K  0.905  0.368  0.056
Ta  0.327  0.673  0.750
Ta  0.673  0.327  0.250
Br  0.023  0.157  0.241
Br  0.157  0.023  0.741
Br  0.246  0.394  0.688
Br  0.257  0.562  0.509
Br  0.345  0.655  0.250
Br  0.394  0.246  0.188
Br  0.438  0.743  0.991
Br  0.562  0.257  0.009
Br  0.606  0.754  0.812
Br  0.655  0.345  0.750
Br  0.743  0.438  0.491
Br  0.754  0.606  0.312
Br  0.843  0.977  0.259
Br  0.977  0.843  0.759

Peak list (8 most intense, 10 to 90 degrees two-theta, by intensity)
2θ/deg, I (rel.)
12.7, 100
13.6, 46
17.3, 33
29.0, 30
13.7, 30
28.4, 29
30.3, 28
33.0, 28

---

Entry 2:
The following is a theoretical powder diffraction line list of KTaBr. It was derived from the PBE geometry in Alexandria, using Cu Kα (weighted mean of Kα1 and Kα2).
Peak positions follow from Bragg's law for the DFT cell and can differ from measured ones.

Cell and atoms:
Cell lengths 8.188, 7.961, 3.210 Å; angles 82.54, 74.59, 22.87 degrees
Positions (direct):
K  0.000  0.000  0.000
Ta  0.696  0.696  0.304
Br  0.327  0.327  0.673

Peak list (8 most intense, 10 to 90 degrees two-theta, by intensity)
2θ/deg, I (rel.)
34.6, 100
11.4, 91
33.9, 29
41.9, 27
30.3, 21
61.1, 19
34.7, 18
49.3, 13

---

Entry 3:
The following is a theoretical powder diffraction line list of K2TlTcBr8. It was derived from the PBE geometry in Alexandria, using Cu Kα (weighted mean of Kα1 and Kα2).
Peak positions follow from Bragg's law for the DFT cell and can differ from measured ones.

Cell and atoms:
Cell lengths 6.456, 8.045, 8.767 Å; angles 90.08, 90.27, 94.16 degrees
Positions (direct):
K  0.005  0.001  0.251
K  0.995  0.999  0.749
Tl  0.000  0.500  0.500
Tc  0.000  0.500  0.000
Br  0.225  0.384  0.795
Br  0.228  0.386  0.207
Br  0.235  0.767  0.999
Br  0.266  0.804  0.502
Br  0.734  0.196  0.498
Br  0.765  0.233  0.001
Br  0.772  0.614  0.793
Br  0.775  0.616  0.205

Peak list (8 most intense, 10 to 90 degrees two-theta, by intensity)
2θ/deg, I (rel.)
26.6, 100
11.0, 77
13.8, 60
27.0, 47
17.0, 26
41.2, 25
39.5, 25
37.1, 24

---

Entry 4:
The following is a theoretical powder diffraction line list of K7TeBr5. It was derived from the PBE geometry in Alexandria, using Cu Kα (weighted mean of Kα1 and Kα2).
Peak positions follow from Bragg's law for the DFT cell and can differ from measured ones.

Cell and atoms:
Cell lengths 8.190, 8.190, 27.395 Å; angles 90.00, 90.00, 145.76 degrees
Positions (direct):
K  0.058  0.942  0.750
K  0.133  0.867  0.036
K  0.133  0.867  0.464
K  0.313  0.687  0.679
K  0.313  0.687  0.821
K  0.403  0.597  0.114
K  0.403  0.597  0.386
K  0.597  0.403  0.614
K  0.597  0.403  0.886
K  0.687  0.313  0.179
K  0.687  0.313  0.321
K  0.867  0.133  0.536
K  0.867  0.133  0.964
K  0.942  0.058  0.250
Te  0.293  0.707  0.250
Te  0.707  0.293  0.750
Br  0.042  0.958  0.146
Br  0.042  0.958  0.354
Br  0.227  0.773  0.572
Br  0.227  0.773  0.928
Br  0.500  0.500  0.000
Br  0.500  0.500  0.500
Br  0.773  0.227  0.072
Br  0.773  0.227  0.428
Br  0.958  0.042  0.646
Br  0.958  0.042  0.854

Peak list (8 most intense, 10 to 90 degrees two-theta, by intensity)
2θ/deg, I (rel.)
27.0, 100
26.0, 97
38.2, 60
22.5, 54
25.4, 49
35.3, 44
37.3, 43
36.7, 35

---

Entry 5:
The following is a theoretical powder diffraction line list of K10Te4Br. It was derived from the PBE geometry in Alexandria, using Cu Kα (weighted mean of Kα1 and Kα2).
Peak positions follow from Bragg's law for the DFT cell and can differ from measured ones.

Cell and atoms:
Cell lengths 24.121, 24.121, 24.121 Å; angles 13.90, 13.90, 13.90 degrees
Positions (direct):
K  0.049  0.049  0.049
K  0.149  0.149  0.149
K  0.251  0.251  0.251
K  0.350  0.350  0.350
K  0.448  0.448  0.448
K  0.552  0.552  0.552
K  0.650  0.650  0.650
K  0.749  0.749  0.749
K  0.851  0.851  0.851
K  0.951  0.951  0.951
Te  0.099  0.099  0.099
Te  0.300  0.300  0.300
Te  0.700  0.700  0.700
Te  0.901  0.901  0.901
Br  0.500  0.500  0.500

Peak list (8 most intense, 10 to 90 degrees two-theta, by intensity)
2θ/deg, I (rel.)
30.6, 100
18.6, 78
36.1, 44
54.4, 27
43.8, 18
72.4, 14
48.0, 14
58.0, 11

---

Entry 6:
The following is a theoretical powder diffraction line list of KTiBr3. It was derived from the PBE geometry in Alexandria, using Cu Kα (weighted mean of Kα1 and Kα2).
Peak positions follow from Bragg's law for the DFT cell and can differ from measured ones.

Cell and atoms:
Cell lengths 13.370, 13.370, 5.851 Å; angles 90.00, 90.00, 120.00 degrees
Positions (direct):
K  0.001  0.329  0.000
K  0.328  0.999  0.000
K  0.329  0.328  0.500
K  0.671  0.672  0.000
K  0.672  0.001  0.500
K  0.999  0.671  0.500
Ti  0.000  0.000  0.260
Ti  0.000  0.000  0.760
Ti  0.333  0.667  0.261
Ti  0.333  0.667  0.702
Ti  0.667  0.333  0.202
Ti  0.667  0.333  0.761
Br  0.038  0.185  0.510
Br  0.142  0.522  0.481
Br  0.147  0.962  0.510
Br  0.185  0.147  0.010
Br  0.197  0.710  0.981
Br  0.290  0.487  0.981
Br  0.381  0.858  0.481
Br  0.478  0.619  0.481
Br  0.487  0.197  0.481
Br  0.513  0.803  0.981
Br  0.522  0.381  0.981
Br  0.619  0.142  0.981
Br  0.710  0.513  0.481
Br  0.803  0.290  0.481
Br  0.815  0.853  0.510
Br  0.853  0.038  0.010
Br  0.858  0.478  0.981
Br  0.962  0.815  0.010

Peak list (8 most intense, 10 to 90 degrees two-theta, by intensity)
2θ/deg, I (rel.)
30.8, 100
27.7, 49
13.2, 43
41.0, 28
30.6, 24
49.1, 22
59.0, 19
54.5, 18

---

Entry 7:
The following is a theoretical powder diffraction line list of K4TiBr6. It was derived from the PBE geometry in Alexandria, using Cu Kα (weighted mean of Kα1 and Kα2).
Peak positions follow from Bragg's law for the DFT cell and can differ from measured ones.

Cell and atoms:
Cell lengths 9.016, 9.016, 9.368 Å; angles 90.00, 90.00, 90.00 degrees
Positions (direct):
K  0.175  0.325  0.250
K  0.175  0.325  0.750
K  0.325  0.825  0.250
K  0.325  0.825  0.750
K  0.675  0.175  0.250
K  0.675  0.175  0.750
K  0.825  0.675  0.250
K  0.825  0.675  0.750
Ti  0.000  0.000  0.000
Ti  0.500  0.500  0.500
Br  0.000  0.000  0.286
Br  0.000  0.000  0.714
Br  0.088  0.706  0.000
Br  0.206  0.588  0.500
Br  0.294  0.088  0.000
Br  0.412  0.206  0.500
Br  0.500  0.500  0.214
Br  0.500  0.500  0.786
Br  0.588  0.794  0.500
Br  0.706  0.912  0.000
Br  0.794  0.412  0.500
Br  0.912  0.294  0.000

Peak list (8 most intense, 10 to 90 degrees two-theta, by intensity)
2θ/deg, I (rel.)
29.2, 100
31.4, 68
13.6, 40
32.8, 37
30.3, 30
24.0, 29
34.0, 29
38.4, 26

---

Entry 8:
The following is a theoretical powder diffraction line list of KTl2Br4. It was derived from the PBE geometry in Alexandria, using Cu Kα (weighted mean of Kα1 and Kα2).
Peak positions follow from Bragg's law for the DFT cell and can differ from measured ones.

Cell and atoms:
Cell lengths 8.770, 8.770, 8.770 Å; angles 138.36, 138.36, 60.36 degrees
Positions (direct):
K  0.000  0.000  0.000
Tl  0.395  0.395  0.000
Tl  0.605  0.605  0.000
Br  0.000  0.500  0.500
Br  0.215  0.215  0.000
Br  0.500  0.000  0.500
Br  0.785  0.785  0.000

Peak list (8 most intense, 10 to 90 degrees two-theta, by intensity)
2θ/deg, I (rel.)
28.6, 100
32.8, 80
15.4, 79
20.1, 77
44.1, 70
31.1, 44
40.9, 38
32.7, 27

---

Entry 9:
The following is a theoretical powder diffraction line list of K6TlBr8. It was derived from the PBE geometry in Alexandria, using Cu Kα (weighted mean of Kα1 and Kα2).
Peak positions follow from Bragg's law for the DFT cell and can differ from measured ones.

Cell and atoms:
Cell lengths 9.723, 9.723, 6.965 Å; angles 90.00, 90.00, 120.00 degrees
Positions (direct):
K  0.000  0.374  0.284
K  0.000  0.626  0.716
K  0.374  0.000  0.284
K  0.374  0.374  0.716
K  0.626  0.000  0.716
K  0.626  0.626  0.284
Tl  0.000  0.000  0.000
Br  0.000  0.275  0.785
Br  0.000  0.725  0.215
Br  0.275  0.000  0.785
Br  0.275  0.275  0.215
Br  0.333  0.667  0.500
Br  0.667  0.333  0.500
Br  0.725  0.000  0.215
Br  0.725  0.725  0.785

Peak list (8 most intense, 10 to 90 degrees two-theta, by intensity)
2θ/deg, I (rel.)
31.6, 100
16.5, 96
31.9, 77
30.9, 76
10.5, 48
40.8, 30
62.8, 28
45.5, 28

---

Entry 10:
The following is a theoretical powder diffraction line list of K2TlBr5. It was derived from the PBE geometry in Alexandria, using Cu Kα (weighted mean of Kα1 and Kα2).
Peak positions follow from Bragg's law for the DFT cell and can differ from measured ones.

Cell and atoms:
Cell lengths 9.261, 9.261, 10.900 Å; angles 115.11, 115.11, 90.02 degrees
Positions (direct):
K  0.000  0.000  0.000
K  0.000  0.000  0.500
K  0.000  0.500  0.000
K  0.500  0.000  0.500
Tl  0.374  0.626  0.750
Tl  0.626  0.374  0.250
Br  0.125  0.875  0.250
Br  0.240  0.718  0.934
Br  0.282  0.760  0.566
Br  0.284  0.307  0.568
Br  0.307  0.284  0.068
Br  0.693  0.716  0.932
Br  0.716  0.693  0.432
Br  0.718  0.240  0.434
Br  0.760  0.282  0.066
Br  0.875  0.125  0.750

Peak list (8 most intense, 10 to 90 degrees two-theta, by intensity)
2θ/deg, I (rel.)
16.9, 100
34.3, 64
18.0, 40
19.2, 35
32.2, 32
38.9, 30
21.7, 28
10.8, 26

---

Entry 11:
The following is a theoretical powder diffraction line list of K4TlBr5. It was derived from the PBE geometry in Alexandria, using Cu Kα (weighted mean of Kα1 and Kα2).
Peak positions follow from Bragg's law for the DFT cell and can differ from measured ones.

Cell and atoms:
Cell lengths 12.548, 12.548, 12.548 Å; angles 158.23, 149.05, 38.16 degrees
Positions (direct):
K  0.100  0.100  0.000
K  0.299  0.299  0.000
K  0.701  0.701  0.000
K  0.900  0.900  0.000
Tl  0.500  0.500  0.000
Br  0.000  0.500  0.500
Br  0.200  0.700  0.500
Br  0.398  0.898  0.500
Br  0.602  0.102  0.500
Br  0.800  0.300  0.500

Peak list (8 most intense, 10 to 90 degrees two-theta, by intensity)
2θ/deg, I (rel.)
26.6, 100
38.0, 76
47.0, 27
68.6, 25
61.9, 23
54.8, 13
13.7, 12
62.0, 11

---

Entry 12:
The following is a theoretical powder diffraction line list of KTl3Br8. It was derived from the PBE geometry in Alexandria, using Cu Kα (weighted mean of Kα1 and Kα2).
Peak positions follow from Bragg's law for the DFT cell and can differ from measured ones.

Cell and atoms:
Cell lengths 7.122, 7.122, 10.856 Å; angles 90.17, 90.17, 71.83 degrees
Positions (direct):
K  0.000  0.000  0.000
Tl  0.000  0.000  0.500
Tl  0.398  0.398  0.248
Tl  0.602  0.602  0.752
Br  0.209  0.728  0.750
Br  0.272  0.791  0.250
Br  0.289  0.289  0.457
Br  0.293  0.293  0.035
Br  0.707  0.707  0.965
Br  0.711  0.711  0.543
Br  0.728  0.209  0.750
Br  0.791  0.272  0.250

Peak list (8 most intense, 10 to 90 degrees two-theta, by intensity)
2θ/deg, I (rel.)
15.4, 100
21.0, 65
27.6, 50
25.5, 37
33.0, 35
21.3, 30
17.4, 25
41.6, 25